# 1
# Tl2MoI2
Simulated powder X-ray diffraction pattern, Cu Kα X-rays. Input: a structure optimized by DFT (PBE).
Neutral-atom scattering factors, no anomalous dispersion.

Structural model:
Unit cell a=5.688 b=5.688 c=5.578 alpha=90.00 beta=90.00 gamma=90.00
Space group P4/mmm (No. 123)
Asymmetric unit:
Tl 0.000 0.000 0.000 x1
Tl 0.500 0.500 0.000 x1
Mo 0.000 0.000 0.500 x1
I 0.000 0.500 0.500 x2

Largest 12 diffraction maxima, low angle first, 5 to 70 degrees two-theta:
d_spacing  2θ (°)  I (rel.)  (hkl)
5.688  15.58  6  1 0 0
4.022  22.10  16  1 1 0
3.262  27.34  100  1 1 1
2.844  31.46  64  2 0 0
2.789  32.09  31  0 0 2
2.292  39.31  8  1 1 2
2.011  45.08  24  2 2 0
1.991  45.55  46  2 0 2
1.712  53.53  32  3 1 1
1.688  54.36  15  1 1 3
1.631  56.41  25  2 2 2
1.422  65.66  8  4 0 0

=====

# 2
# NaIN
Simulated powder X-ray diffraction pattern, Cu Kα X-rays. Input: a structure optimized by DFT (PBE).
Neutral-atom scattering factors, no anomalous dispersion.

Structural model:
Unit cell a=20.809 b=5.736 c=5.519 alpha=90.00 beta=104.75 gamma=90.00
Space group C2/m (No. 12)
Asymmetric unit:
Na 0.244 0.000 0.244 x4
I 0.185 0.500 0.188 x4
N 0.001 0.500 0.602 x4

Largest 12 diffraction maxima, low angle first, 5 to 70 degrees two-theta:
d_spacing  2θ (°)  I (rel.)  (hkl)
10.062  8.79  100  2 0 0
5.517  16.07  25  1 1 0
4.360  20.37  34  3 1 0
4.285  20.73  29  2 0 1
4.239  20.96  29  4 0 -1
3.977  22.35  21  1 1 -1
3.709  24.00  13  1 1 1
3.295  27.06  25  5 1 0
2.868  31.18  16  0 2 0
2.759  32.45  22  2 0 -2
2.134  42.36  12  7 1 1
2.118  42.68  14  9 1 -1

=====

# 3
# Na3I2N2
Simulated powder X-ray diffraction pattern, Cu Kα X-rays. Input: a structure optimized by DFT (PBE).
Neutral-atom scattering factors, no anomalous dispersion.

Structural model:
Unit cell a=4.320 b=4.935 c=18.008 alpha=90.00 beta=90.00 gamma=90.00
Space group Immm (No. 71)
Asymmetric unit:
Na 0.000 0.000 0.000 x2
Na 0.000 0.000 0.358 x4
I 0.000 0.000 0.168 x4
N 0.137 0.500 0.000 x4

Largest 12 diffraction maxima, low angle first, 5 to 70 degrees two-theta:
d_spacing  2θ (°)  I (rel.)  (hkl)
9.004  9.82  38  0 0 2
4.201  21.15  39  1 0 1
3.812  23.34  72  0 1 3
3.506  25.40  34  1 0 3
3.251  27.44  100  1 1 0
3.057  29.21  32  1 1 2
3.001  29.77  48  0 0 6
2.766  32.36  25  1 0 5
2.635  34.02  30  1 1 4
2.467  36.41  31  0 2 0
2.205  40.93  59  1 1 6
1.906  47.72  24  0 2 6